# 1
For ZnHg2S3, a structure optimized by DFT (GGA-PBE) gives the theoretical PXRD pattern in this record (a wavelength of 1.5418 Å).
Lines closer than 0.1° are merged.

Largest 10 diffraction maxima, sorted by position, 10 to 90 degrees two-theta:
d/Å, I_rel
4.533, 163
3.554, 457
3.350, 375
3.139, 1000
2.438, 240
2.052, 389
1.891, 418
1.750, 348
1.717, 183
1.151, 161

```
12
Lattice="6.152 -3.555 0.000 6.152 3.555 0.000 0.000 0.000 6.699" Properties=species:S:1:pos:R:3 pbc="T T T"
Zn 6.152 2.417 3.350
Zn 6.152 -2.417 0.000
Hg 4.157 1.211 0.008
Hg 8.148 1.211 0.008
Hg 4.157 -1.211 3.358
Hg 8.148 -1.211 3.358
S 6.152 2.540 5.724
S 4.234 1.267 2.605
S 8.070 1.267 2.605
S 4.234 -1.267 5.954
S 8.070 -1.267 5.954
S 6.152 -2.540 2.374
```

***

# 2
For ZnHgS3, a structure optimized by DFT (GGA-PBE) gives the theoretical PXRD pattern in this record (a wavelength of 1.5418 Å).
Lines closer than 0.1° are merged.

Largest 10 diffraction maxima, sorted by position, 10 to 90 degrees two-theta:
d/Å, I_rel
4.714, 162
3.333, 1000
2.721, 365
2.357, 480
1.924, 448
1.667, 321
1.491, 196
1.421, 145
1.260, 225
1.111, 119

```
5
Lattice="4.714 0.000 0.000 0.000 4.714 0.000 0.000 0.000 4.714" Properties=species:S:1:pos:R:3 pbc="T T T"
Zn 0.000 0.000 0.000
Hg 2.357 2.357 2.357
S 0.000 0.000 2.357
S 0.000 2.357 0.000
S 2.357 0.000 0.000
```

***

# 3
For ZrHgS2, a structure optimized by DFT (GGA-PBE) gives the theoretical PXRD pattern in this record (a wavelength of 1.5418 Å).
Lines closer than 0.1° are merged.

Largest 10 diffraction maxima, sorted by position, 10 to 90 degrees two-theta:
d/Å, I_rel
4.843, 628
3.179, 297
3.020, 1000
2.658, 447
2.265, 579
1.926, 134
1.835, 250
1.716, 236
1.654, 218
1.568, 146

```
4
Lattice="3.671 0.000 0.000 -1.835 3.179 0.000 0.000 0.000 9.686" Properties=species:S:1:pos:R:3 pbc="T T T"
Zr 0.000 0.000 0.000
Hg 0.000 2.119 4.662
S 0.000 2.119 8.216
S 1.835 1.060 1.471
```

***

# 4
For HgSb, a structure optimized by DFT (GGA-PBE) gives the theoretical PXRD pattern in this record (a wavelength of 1.5418 Å).
Lines closer than 0.1° are merged.

Largest 10 diffraction maxima, sorted by position, 10 to 90 degrees two-theta:
d/Å, I_rel
3.551, 468
2.994, 566
2.961, 788
2.918, 1000
2.598, 203
2.274, 382
2.205, 417
2.194, 234
2.036, 232
1.622, 325

```
16
Lattice="6.767 0.000 0.000 0.000 7.101 0.000 0.000 0.000 9.879" Properties=species:S:1:pos:R:3 pbc="T T T"
Hg 0.430 0.353 3.890
Hg 0.690 3.808 7.530
Hg 2.694 3.293 2.590
Hg 2.953 6.748 8.830
Hg 3.814 3.197 5.989
Hg 4.073 6.844 2.349
Hg 6.077 0.258 7.289
Hg 6.337 3.904 1.049
Sb 1.027 4.559 4.708
Sb 1.079 6.359 1.234
Sb 2.305 0.742 6.173
Sb 2.356 2.542 9.648
Sb 4.410 6.093 5.171
Sb 4.462 4.293 8.646
Sb 5.688 2.809 3.706
Sb 5.740 1.009 0.231
```

***

# 5
For Hg5Sb3, a structure optimized by DFT (GGA-PBE) gives the theoretical PXRD pattern in this record (a wavelength of 1.5418 Å).
Lines closer than 0.1° are merged.

Largest 10 diffraction maxima, sorted by position, 10 to 90 degrees two-theta:
d/Å, I_rel
3.256, 772
3.243, 458
3.212, 381
3.175, 413
3.079, 864
3.008, 1000
2.975, 535
2.703, 364
2.641, 355
2.274, 352

```
16
Lattice="6.759 0.000 0.000 1.169 8.189 0.000 2.242 0.299 9.276" Properties=species:S:1:pos:R:3 pbc="T T T"
Hg 0.000 0.000 0.000
Hg 1.985 3.194 5.680
Hg 2.725 7.299 4.120
Hg 2.027 4.375 2.019
Hg 4.376 3.308 7.883
Hg 3.963 6.350 0.156
Hg 4.721 1.228 4.171
Hg 6.576 5.282 6.527
Hg 5.175 3.310 0.630
Hg 6.551 6.242 3.438
Sb 1.128 1.272 2.282
Sb 3.795 4.709 4.150
Sb 5.125 0.768 6.911
Sb 3.894 0.918 1.496
Sb 7.960 0.670 6.631
Sb 9.504 5.314 9.031
```

***

# 6
For Hg3Sb5, a structure optimized by DFT (GGA-PBE) gives the theoretical PXRD pattern in this record (a wavelength of 1.5418 Å).
Lines closer than 0.1° are merged.

Largest 10 diffraction maxima, sorted by position, 10 to 90 degrees two-theta:
d/Å, I_rel
3.721, 215
3.084, 231
3.054, 321
2.737, 1000
2.572, 351
2.451, 370
2.241, 254
2.182, 208
1.705, 245
1.431, 244

```
16
Lattice="9.331 0.000 0.000 -4.665 8.081 0.000 0.000 0.000 6.167" Properties=species:S:1:pos:R:3 pbc="T T T"
Hg -1.968 3.409 1.542
Hg -2.697 4.672 4.625
Hg 3.936 0.000 1.542
Hg 1.968 3.409 4.625
Hg 5.395 0.000 4.625
Hg 2.697 4.672 1.542
Sb -0.847 1.467 4.625
Sb -3.818 6.614 1.542
Sb 1.694 0.000 4.625
Sb 0.847 1.467 1.542
Sb 0.000 5.387 0.000
Sb 0.000 5.387 3.084
Sb 4.665 2.694 0.000
Sb 4.665 2.694 3.084
Sb 7.637 0.000 1.542
Sb 3.818 6.614 4.625
```

***

# 7
For HgSb4, a structure optimized by DFT (GGA-PBE) gives the theoretical PXRD pattern in this record (a wavelength of 1.5418 Å).
Lines closer than 0.1° are merged.

Largest 10 diffraction maxima, sorted by position, 10 to 90 degrees two-theta:
d/Å, I_rel
3.983, 989
3.697, 425
3.600, 582
3.000, 788
2.900, 1000
2.376, 402
2.171, 297
2.135, 328
2.092, 279
2.009, 261

```
10
Lattice="6.560 0.000 0.000 0.000 5.478 0.000 -1.516 0.000 9.553" Properties=species:S:1:pos:R:3 pbc="T T T"
Hg 0.000 0.000 0.000
Hg -0.758 2.739 4.777
Sb 0.418 1.364 6.924
Sb 1.176 1.375 2.147
Sb 1.245 3.640 8.538
Sb 2.003 4.578 3.762
Sb 3.041 0.901 5.792
Sb 3.799 1.839 1.015
Sb 3.868 4.104 7.406
Sb 4.625 4.114 2.630
```

***

# 8
For Hg15Sb, a structure optimized by DFT (GGA-PBE) gives the theoretical PXRD pattern in this record (a wavelength of 1.5418 Å).
Lines closer than 0.1° are merged.

Largest 10 diffraction maxima, sorted by position, 10 to 90 degrees two-theta:
d/Å, I_rel
3.339, 304
2.666, 1000
2.215, 130
1.928, 254
1.846, 108
1.562, 185
1.454, 190
1.350, 108
1.214, 155
1.106, 56

```
16
Lattice="7.711 0.000 0.000 -3.856 6.678 0.000 0.000 0.000 8.859" Properties=species:S:1:pos:R:3 pbc="T T T"
Hg 0.000 0.000 0.000
Hg -1.808 3.408 4.429
Hg 1.894 1.093 2.270
Hg 1.894 1.093 6.588
Hg 0.000 4.452 1.956
Hg 0.000 4.452 6.903
Hg 1.808 3.408 4.429
Hg 0.000 6.540 4.429
Hg 3.856 0.247 0.000
Hg 2.142 3.216 0.000
Hg 5.818 1.093 2.270
Hg 5.818 1.093 6.588
Hg 3.856 4.491 2.270
Hg 3.856 4.491 6.588
Hg 5.570 3.216 0.000
Sb 0.000 0.000 4.429
```